Diffraction record for Cs2VAgF6. The X-ray diffraction stick pattern is calculated, not measured: it uses a GGA+U-relaxed structure and λ = 1.5418 Å (Cu Kα).
Peak positions follow from Bragg's law for the DFT cell and can differ from measured ones.

Atomic structure:
```
Cs2VAgF6
1.0
5.5171 -3.1891 0.0000
5.5171 3.1891 0.0000
-3.6895 0.0000 5.2259
Cs V Ag F
2 1 1 6
direct
0.2494 0.2494 0.2481
0.7506 0.7506 0.7519
0.5000 0.5000 0.0000
0.0000 0.0000 0.5000
0.2786 0.2786 0.7779
0.2795 0.7195 0.7788
0.2805 0.7205 0.2212
0.7195 0.2795 0.7788
0.7205 0.2805 0.2212
0.7214 0.7214 0.2221
```

Peak list (12 most intense, 5 to 70 degrees two-theta, sorted by position)
two_theta  I (rel.)
27.93  100
28.00  50
34.45  12
39.95  52
49.35  15
49.50  38
49.57  5
57.69  16
57.86  16
65.28  10
65.41  14
65.53  5